Simulated X-ray powder pattern
Compound: FeSiW
Radiation: Cu Kα (weighted mean of Kα1 and Kα2)
Structure: the PBE geometry in the Materials Project
Lines closer than 0.1° are merged.

Atomic structure:
```
12
Lattice="7.648 0.000 0.000 0.000 2.461 4.038 0.000 -2.461 4.038" Properties=species:S:1:pos:R:3 pbc="T T T"
Fe 0.000 0.000 0.000
Fe 0.000 -1.180 1.948
Fe 0.000 1.180 1.948
Fe 3.824 0.000 5.501
Si 1.811 0.000 6.605
Si 3.824 -1.183 3.431
Si 3.824 1.183 3.431
Si 5.837 0.000 6.605
W 1.395 0.000 3.969
W 2.372 0.000 1.293
W 5.276 0.000 1.293
W 6.253 0.000 3.969
```

Largest 6 diffraction maxima, by angle, 2θ from 10° to 80°:
Position (°2θ)  Rel. int.
36.51  40
38.10  60
41.42  100
41.91  42
44.72  44
45.12  74

Simulated X-ray powder pattern
Compound: KCrSnS4
Radiation: Cu Kα (weighted mean of Kα1 and Kα2)
Structure: the PBE geometry in the Materials Project
Lines closer than 0.1° are merged.

Atomic structure:
```
7
Lattice="6.279 0.000 0.000 0.000 3.684 0.000 -2.113 0.000 7.611" Properties=species:S:1:pos:R:3 pbc="T T T"
K 0.000 0.000 0.000
Cr 4.250 0.000 3.741
Sn 1.101 1.842 3.801
S -0.068 0.000 5.185
S 2.240 0.000 2.375
S 3.324 1.842 5.088
S 5.200 1.842 2.421
```

Largest 6 diffraction maxima, by angle, 2θ from 10° to 80°:
Position (°2θ)  Rel. int.
11.63  100
29.16  21
34.36  43
34.72  20
42.55  11
50.13  15

Simulated X-ray powder pattern
Compound: K3HoCl6
Radiation: Cu Kα (weighted mean of Kα1 and Kα2)
Structure: the PBE geometry in the Materials Project
Lines closer than 0.1° are merged.

Atomic structure:
```
40
Lattice="13.259 0.000 0.000 0.000 7.828 0.000 -4.076 0.000 12.036" Properties=species:S:1:pos:R:3 pbc="T T T"
K -0.157 0.249 4.339
K -2.195 3.665 10.357
K 3.093 4.434 3.181
K 1.055 7.308 9.199
K 3.793 0.511 1.363
K 1.755 3.403 7.380
K 7.428 4.424 4.655
K 5.390 7.317 10.673
K 8.128 0.520 2.837
K 6.090 3.394 8.854
K 11.378 4.162 1.679
K 9.340 7.579 7.697
Ho 0.000 0.000 0.000
Ho -2.038 3.914 6.018
Ho 4.591 0.000 6.018
Ho 6.630 3.914 0.000
Cl -1.095 1.708 7.188
Cl 0.943 2.206 1.170
Cl 0.067 3.932 4.471
Cl -1.971 7.809 10.489
Cl -0.840 5.343 7.859
Cl 1.198 6.399 1.842
Cl 4.564 5.541 0.064
Cl 2.526 6.200 6.082
Cl 3.015 1.683 4.722
Cl 0.977 2.231 10.740
Cl 3.815 1.109 8.311
Cl 5.853 2.805 2.293
Cl 3.330 5.023 9.743
Cl 5.368 6.718 3.725
Cl 8.206 5.597 1.295
Cl 6.167 6.145 7.313
Cl 6.657 1.627 5.954
Cl 4.619 2.287 11.972
Cl 7.985 1.429 10.194
Cl 10.023 2.485 4.176
Cl 11.154 0.018 1.547
Cl 9.116 3.896 7.565
Cl 8.240 5.621 10.866
Cl 10.278 6.120 4.848
```

Largest 6 diffraction maxima, by angle, 2θ from 10° to 80°:
Position (°2θ)  Rel. int.
14.10  100
16.30  55
23.12  33
23.88  40
32.94  46
43.21  25

Simulated X-ray powder pattern
Compound: Mg3Bi
Radiation: Cu Kα (weighted mean of Kα1 and Kα2)
Structure: the PBE geometry in the Materials Project
Lines closer than 0.1° are merged.

Atomic structure:
```
4
Lattice="-2.317 2.317 4.632 2.317 -2.317 4.632 2.317 2.317 -4.632" Properties=species:S:1:pos:R:3 pbc="T T T"
Mg 0.000 0.000 0.000
Mg 2.317 0.000 2.316
Mg 0.000 2.317 2.316
Bi 0.000 0.000 4.632
```

Largest 6 diffraction maxima, by angle, 2θ from 10° to 80°:
Position (°2θ)  Rel. int.
19.16  32
21.44  100
33.50  84
38.88  42
44.82  31
66.99  34

Simulated X-ray powder pattern
Compound: NbH
Radiation: Cu Kα (weighted mean of Kα1 and Kα2)
Structure: the PBE geometry in the Materials Project
Lines closer than 0.1° are merged.

Atomic structure:
```
2
Lattice="-1.607 1.607 1.984 1.607 -1.607 1.984 1.607 1.607 -1.984" Properties=species:S:1:pos:R:3 pbc="T T T"
Nb 0.000 0.000 0.000
H 0.000 0.000 1.984
```

Largest 6 diffraction maxima, by angle, 2θ from 10° to 80°:
Position (°2θ)  Rel. int.
35.96  100
39.66  40
45.72  13
57.34  13
62.10  20
69.56  28

Simulated X-ray powder pattern
Compound: PuSb
Radiation: Cu Kα (weighted mean of Kα1 and Kα2)
Structure: the PBE geometry in the Materials Project
Lines closer than 0.1° are merged.

Atomic structure:
```
2
Lattice="3.770 0.000 0.000 0.000 3.770 0.000 0.000 0.000 3.770" Properties=species:S:1:pos:R:3 pbc="T T T"
Pu 0.000 0.000 0.000
Sb 1.885 1.885 1.885
```

Largest 6 diffraction maxima, by angle, 2θ from 10° to 80°:
Position (°2θ)  Rel. int.
23.60  12
33.62  100
48.28  18
54.42  6
60.12  38
70.68  12

Simulated X-ray powder pattern
Compound: Cu2SiS3
Radiation: Cu Kα (weighted mean of Kα1 and Kα2)
Structure: the PBE geometry in the Materials Project
Lines closer than 0.1° are merged.

Atomic structure:
```
24
Lattice="0.000 11.135 5.165 3.699 0.000 5.165 3.699 11.135 0.000" Properties=species:S:1:pos:R:3 pbc="T T T"
Cu 0.000 0.000 0.000
Cu 1.849 5.567 2.582
Cu 3.659 7.392 5.102
Cu 3.699 11.135 5.112
Cu 5.588 12.960 7.684
Cu 3.738 14.877 5.102
Cu 5.548 16.702 7.694
Cu 5.509 20.444 7.684
Si 1.739 1.848 2.537
Si 3.589 3.719 5.120
Si 1.959 9.286 2.537
Si 3.809 18.550 5.120
S 1.784 3.661 1.208
S 3.732 5.437 3.897
S 1.915 7.473 1.208
S 3.627 9.263 3.818
S 5.515 11.004 6.480
S 3.770 13.006 3.818
S 5.620 14.831 6.401
S 3.666 16.832 3.897
S 5.476 18.573 6.401
S 3.764 9.229 8.955
S 1.882 11.265 6.480
S 3.634 13.040 8.955
```

Largest 6 diffraction maxima, by angle, 2θ from 10° to 80°:
Position (°2θ)  Rel. int.
29.67  100
49.09  10
49.56  40
58.44  13
58.56  12
59.18  12

Q: Which formula does entry 2 have?
A: KCrSnS4

Q: Which formula does entry 2 have?
A: KCrSnS4